(1)
# USb2P2Rh7
Computed powder X-ray diffraction pattern, a wavelength of 1.5418 Å. Input: a DFT-relaxed cell (GGA-PBE, Alexandria).
Lines closer than 0.1° are merged.

Crystal structure
Unit cell a=5.4834 b=5.4831 c=14.9178 alpha=90.00 beta=100.54 gamma=90.00
Space group C2/m (No. 12)
Asymmetric unit:
U  0.0000  0.0000  0.0000 x2
Sb  0.2112  0.0000  0.4243 x4
P  0.1154  0.5000  0.2321 x4
Rh  0.0000  0.5000  0.0000 x2
Rh  0.1792  0.2501  0.8570 x8
Rh  0.1946  0.5000  0.3890 x4

Principal peaks in the range 10 to 90 degrees two-theta, low angle first:
2θ (°)  I/Imax  (hkl)
12.1  78  0 0 2
30.5  32  0 0 5
32.7  23  0 2 0
34.9  62  2 0 -3
37.6  100  2 0 2
41.1  34  2 0 -5
43.2  24  0 0 7
45.3  69  2 0 4
46.9  73  2 2 -1
65.6  28  2 2 -8
68.4  23  0 4 0
85.9  22  4 2 3

(2)
# La2CuBi2
Computed powder X-ray diffraction pattern, a wavelength of 1.5418 Å. Input: a DFT-relaxed cell (GGA-PBE, Alexandria).
Lines closer than 0.1° are merged.

Crystal structure
Unit cell a=8.2780 b=8.2780 c=4.6951 alpha=90.00 beta=90.00 gamma=90.00
Space group P4/mbm (No. 127)
Asymmetric unit:
La  0.1741  0.3259  0.0000 x4
Cu  0.0000  0.0000  0.0000 x2
Bi  0.1345  0.6345  0.5000 x4

Principal peaks in the range 10 to 90 degrees two-theta, low angle first:
2θ (°)  I/Imax  (hkl)
15.1  15  1 1 0
24.3  13  1 1 1
30.8  100  2 1 1
34.3  26  3 1 0
38.3  16  0 0 2
39.2  7  3 2 0
46.5  7  3 3 0
48.0  8  4 0 1
49.4  10  4 1 1
52.3  16  3 1 2
63.7  14  5 2 1
64.7  12  2 1 3

(3)
# SrMg3GeN4
Computed powder X-ray diffraction pattern, a wavelength of 1.5418 Å. Input: a DFT-relaxed cell (GGA-PBE, Alexandria).
Lines closer than 0.1° are merged.

Crystal structure
Unit cell a=11.8994 b=3.3829 c=8.4663 alpha=90.00 beta=134.47 gamma=90.00
Space group Cm (No. 8)
Asymmetric unit:
Sr  0.0000  0.0000  0.0000 x2
Mg  0.1375  0.5000  0.4474 x2
Mg  0.1895  0.0000  0.8124 x2
Mg  0.3311  0.5000  0.1781 x2
Ge  0.3771  0.0000  0.5690 x2
N  0.0899  0.5000  0.8204 x2
N  0.2601  0.0000  0.6450 x2
N  0.2973  0.5000  0.3902 x2
N  0.4133  0.0000  0.1435 x2

Principal peaks in the range 10 to 90 degrees two-theta, low angle first:
2θ (°)  I/Imax  (hkl)
14.9  53  2 0 -1
20.9  23  2 0 0
28.4  26  1 1 -1
29.6  19  0 0 2
33.3  51  2 0 -3
33.6  55  4 0 -1
35.5  100  1 1 1
35.7  85  3 1 -2
47.6  19  2 0 2
48.3  25  6 0 -4
54.2  19  0 2 0
60.7  25  1 1 -4

(4)
# Nb2V3W6
Computed powder X-ray diffraction pattern, a wavelength of 1.5418 Å. Input: a DFT-relaxed cell (GGA-PBE, Alexandria).
Lines closer than 0.1° are merged.

Crystal structure
Unit cell a=28.3886 b=4.4365 c=2.7651 alpha=90.00 beta=93.69 gamma=90.00
Space group C2/m (No. 12)
Asymmetric unit:
Nb  0.0463  0.0000  0.3639 x4
V  0.0000  0.5000  0.0000 x2
V  0.1833  0.5000  0.4565 x4
W  0.0939  0.5000  0.7308 x4
W  0.1394  0.0000  0.0929 x4
W  0.2280  0.0000  0.8163 x4

Principal peaks in the range 10 to 90 degrees two-theta, low angle first:
2θ (°)  I/Imax  (hkl)
18.8  9  6 0 0
25.5  13  5 1 0
40.1  100  3 1 1
40.5  64  11 1 0
40.7  32  0 2 0
58.2  11  14 0 1
58.5  22  8 2 -1
72.7  17  5 1 -2
73.4  11  19 1 -1
73.5  16  14 2 1
73.7  11  3 3 1
73.9  11  11 3 0